No. 1
Theoretical powder diffractogram of CaGa4W2O12 for Cu Kα (weighted mean of Kα1 and Kα2), from a PBE+U-relaxed structure.

Cell: 5.2458 5.5017 8.9928 Å, 85.15 84.14 73.84°
Sites, in units of the cell vectors:
Ca: 0.0000 0.0000 0.0000
Ga: 0.1114 0.3569 0.4875
Ga: 0.1680 0.3827 0.1595
Ga: 0.5794 0.7096 0.9954
Ga: 0.5848 0.8568 0.6843
W: 0.1237 0.4629 0.8085
W: 0.5345 0.7751 0.3353
O: 0.2603 0.1263 0.3258
O: 0.3151 0.1809 0.6676
O: 0.3146 0.6666 0.1565
O: 0.3206 0.6031 0.4547
O: 0.3419 0.2223 0.9789
O: 0.3616 0.7091 0.8362
O: 0.6750 0.9083 0.4775
O: 0.6810 0.8880 0.1493
O: 0.8204 0.8371 0.8326
O: 0.8583 0.4899 0.3242
O: 0.8629 0.4920 0.6504
O: 0.8760 0.4295 0.0091

Principal peaks in the range 5 to 70 degrees two-theta, in order of rising 2θ:
| Position (°2θ) | d (Å) | I (rel.) |
| --- | --- | --- |
| 16.8 | 5.275 | 46 |
| 20.8 | 4.262 | 100 |
| 24.2 | 3.682 | 28 |
| 27.7 | 3.225 | 74 |
| 33.7 | 2.659 | 66 |
| 34.6 | 2.590 | 25 |
| 36.3 | 2.473 | 26 |
| 52.9 | 1.731 | 23 |

No. 2
Theoretical powder diffractogram of CaGa4W2O12 for Cu Kα (weighted mean of Kα1 and Kα2), from a PBE+U-relaxed structure.

Cell: 4.8480 4.8480 9.2068 Å, 90.00 90.00 90.00°
Sites, in units of the cell vectors:
Ca: 0.0000 0.0000 0.0000
Ga: 0.0000 0.5000 0.5803
Ga: 0.0000 0.5000 0.8968
Ga: 0.5000 0.0000 0.1032
Ga: 0.5000 0.0000 0.4197
W: 0.0000 0.5000 0.2582
W: 0.5000 0.0000 0.7418
O: 0.1819 0.2772 0.7528
O: 0.1980 0.3122 0.4182
O: 0.2154 0.3350 0.0882
O: 0.2772 0.8181 0.2472
O: 0.3122 0.8020 0.5818
O: 0.3350 0.7846 0.9118
O: 0.6650 0.2154 0.9118
O: 0.6878 0.1980 0.5818
O: 0.7228 0.1819 0.2472
O: 0.7846 0.6650 0.0882
O: 0.8020 0.6878 0.4182
O: 0.8181 0.7228 0.7528

Principal peaks in the range 5 to 70 degrees two-theta, in order of rising 2θ:
| Position (°2θ) | d (Å) | I (rel.) |
| --- | --- | --- |
| 20.7 | 4.290 | 37 |
| 26.0 | 3.428 | 100 |
| 32.6 | 2.749 | 22 |
| 34.6 | 2.593 | 79 |
| 37.1 | 2.424 | 30 |
| 51.6 | 1.771 | 72 |
| 60.4 | 1.533 | 22 |
| 65.3 | 1.430 | 22 |